# 1
Structure and simulated X-ray powder pattern of Hf3TiAl2 (a cell relaxed with PBE; Cu Kα, 1.54184 Å).
No peak broadening, texture or thermal motion is included.

Crystal structure
```
Hf3TiAl2
1.0
2.163 -6.620 0.000
2.163 6.620 0.000
0.000 0.000 4.004
Hf Ti Al
3 1 2
Direct
0.000 0.000 0.000
0.331 0.669 0.000
0.669 0.331 0.000
0.500 0.500 0.500
0.161 0.839 0.500
0.839 0.161 0.500
```

Main lines, sorted by position (2θ from 10° to 90°):
2θ/deg  Rel. int.
22.20  40.4
28.90  42.8
36.74  100.0
40.89  18.5
41.76  17.5
45.30  13.9
54.63  15.2
59.88  12.0
71.75  13.9
72.95  13.4

***

# 2
Structure and simulated X-ray powder pattern of Sb8Cl2O11 (a cell relaxed with PBE; Cu Kα, 1.54184 Å).
No peak broadening, texture or thermal motion is included.

Crystal structure
```
Sb8Cl2O11
1.0
7.325 0.000 0.000
-0.567 7.424 0.000
-3.237 -2.149 20.485
Sb Cl O
16 4 22
Direct
0.011 0.289 0.283
0.066 0.007 0.403
0.122 0.192 0.812
0.177 0.575 0.444
0.212 0.206 0.058
0.237 0.540 0.962
0.283 0.578 0.179
0.357 0.426 0.693
0.643 0.574 0.307
0.717 0.422 0.821
0.763 0.460 0.038
0.788 0.794 0.942
0.823 0.425 0.556
0.878 0.808 0.188
0.934 0.993 0.597
0.989 0.711 0.717
0.239 0.957 0.563
0.477 0.058 0.106
0.523 0.942 0.894
0.761 0.043 0.437
0.000 0.500 0.000
0.000 0.500 0.500
0.022 0.734 0.390
0.022 0.969 0.690
0.059 0.636 0.219
0.115 0.359 0.379
0.160 0.333 0.139
0.190 0.311 0.904
0.246 0.655 0.712
0.323 0.316 0.775
0.372 0.412 0.034
0.387 0.483 0.262
0.613 0.517 0.738
0.628 0.588 0.966
0.677 0.684 0.225
0.754 0.345 0.288
0.810 0.689 0.096
0.840 0.667 0.861
0.885 0.641 0.621
0.941 0.364 0.781
0.978 0.031 0.310
0.978 0.266 0.610
```

Main lines, sorted by position (2θ from 10° to 90°):
2θ/deg  Rel. int.
11.99  57.3
12.29  100.0
16.37  34.9
22.13  76.0
22.64  62.3
24.82  42.0
26.51  31.1
27.30  79.8
30.69  29.4
33.85  28.0

***

# 3
Structure and simulated X-ray powder pattern of Rb3Tl7Bi4 (a cell relaxed with PBE; Cu Kα, 1.54184 Å).
No peak broadening, texture or thermal motion is included.

Crystal structure
```
Rb3Tl7Bi4
1.0
9.953 -2.628 0.000
9.953 2.628 0.000
-6.702 0.000 10.035
Rb Tl Bi
3 7 4
Direct
0.000 0.000 0.000
0.302 0.302 0.301
0.698 0.698 0.699
0.000 0.000 0.500
0.157 0.157 0.446
0.318 0.318 0.965
0.499 0.499 0.693
0.501 0.501 0.307
0.682 0.682 0.035
0.843 0.843 0.554
0.121 0.121 0.840
0.348 0.348 0.720
0.652 0.652 0.280
0.879 0.879 0.160
```

Main lines, sorted by position (2θ from 10° to 90°):
2θ/deg  Rel. int.
14.71  55.1
27.19  100.0
27.96  40.4
28.08  44.8
28.26  82.4
29.51  41.4
30.51  51.0
32.45  53.8
34.11  96.7
34.65  63.7